# Tb2PmInRh4
Computed powder diffractogram, copper Kα. Input: a structure optimized by DFT (PBE).
Lines closer than 0.1° are merged.

Top 10 peaks for 2θ = 5–70°, in order of rising 2θ:
26.15°, I = 6, hkl 1 0 4
28.56°, I = 2, hkl 0 1 5
37.26°, I = 100, hkl 1 1 0
37.37°, I = 96, hkl 0 1 8
46.09°, I = 1, hkl 0 2 4
51.52°, I = 1, hkl 1 1 9
53.80°, I = 33, hkl 2 0 8
55.28°, I = 1, hkl 1 0 13
67.24°, I = 51, hkl 3 0 0
67.48°, I = 15, hkl 1 0 16

Structural model:
```
data_Tb2PmInRh4
_chemical_formula_sum 'Tb6 Pm3 In3 Rh12'
_space_group_name_H-M_alt 'R -3 m'
_space_group_IT_number 166
_space_group_name_Hall '-R 3 2"'
_cell_length_a 4.8260
_cell_length_b 4.8260
_cell_length_c 23.5430
_cell_angle_alpha 90.00
_cell_angle_beta 90.00
_cell_angle_gamma 120.00
loop_
_atom_site_label
_atom_site_fract_x
_atom_site_fract_y
_atom_site_fract_z
Tb1 0.0000 0.0000 0.2439
Pm1 0.0000 0.0000 0.0000
In1 0.0000 0.0000 0.5000
Rh1 0.0000 0.0000 0.1246
Rh2 0.0000 0.0000 0.3773
```